[1]
Structure and calculated powder diffraction line list of Sr8AgN4 (DFT lattice parameters and positions (GGA-PBE); Cu Kα (weighted mean of Kα1 and Kα2)).
Lines closer than 0.1° are merged.

Structural model:
```
Sr8AgN4
1.0
0.000 5.733 5.733
5.733 0.000 5.733
5.733 5.733 0.000
Sr Ag N
8 1 4
direct
0.396 0.396 0.396 Sr
0.396 0.396 0.811 Sr
0.396 0.811 0.396 Sr
0.423 0.859 0.859 Sr
0.811 0.396 0.396 Sr
0.859 0.423 0.859 Sr
0.859 0.859 0.423 Sr
0.859 0.859 0.859 Sr
0.250 0.250 0.250 Ag
0.122 0.626 0.626 N
0.626 0.122 0.626 N
0.626 0.626 0.122 N
0.626 0.626 0.626 N
```

Most intense lines, 15 to 90 degrees two-theta, in order of rising 2θ:
2θ (°)  intensity
26.94  100
31.21  47
34.09  27
40.90  43
44.71  54
52.98  29

[2]
Structure and calculated powder diffraction line list of TcAgN3 (DFT lattice parameters and positions (GGA-PBE); Cu Kα (weighted mean of Kα1 and Kα2)).
Lines closer than 0.1° are merged.

Structural model:
```
TcAgN3
1.0
3.913 0.000 0.000
0.000 3.913 0.000
0.000 0.000 3.913
Tc Ag N
1 1 3
direct
0.000 0.000 0.000 Tc
0.500 0.500 0.500 Ag
0.000 0.000 0.500 N
0.000 0.500 0.000 N
0.500 0.000 0.000 N
```

Most intense lines, 15 to 90 degrees two-theta, in order of rising 2θ:
2θ (°)  intensity
32.36  100
46.41  28
57.71  37
67.74  16
77.08  16
86.08  6

[3]
Structure and calculated powder diffraction line list of Y6Ag2N (DFT lattice parameters and positions (GGA-PBE); Cu Kα (weighted mean of Kα1 and Kα2)).
Lines closer than 0.1° are merged.

Structural model:
```
Y6Ag2N
1.0
6.781 0.000 0.000
0.000 6.940 0.000
-6.734 0.000 9.660
Y Ag N
12 4 2
direct
0.147 0.013 0.243 Y
0.147 0.487 0.743 Y
0.255 0.723 0.048 Y
0.255 0.777 0.548 Y
0.328 0.211 0.049 Y
0.328 0.289 0.549 Y
0.672 0.711 0.451 Y
0.672 0.789 0.951 Y
0.745 0.223 0.452 Y
0.745 0.277 0.952 Y
0.853 0.513 0.257 Y
0.853 0.987 0.757 Y
0.269 0.046 0.749 Ag
0.269 0.454 0.249 Ag
0.731 0.546 0.751 Ag
0.731 0.954 0.251 Ag
0.000 0.000 0.000 N
0.000 0.500 0.500 N
```

Most intense lines, 15 to 90 degrees two-theta, in order of rising 2θ:
2θ (°)  intensity
30.71  33
30.81  33
31.75  100
32.18  36
32.33  35
37.07  52